This entry pairs a crystal structure of Ti6Nb5 with its computed powder X-ray diffraction pattern. Radiation: Cu Kα (weighted mean of Kα1 and Kα2). Structure: a DFT-relaxed cell (PBE, Alexandria).
Intensities are scaled so that the largest is 100.

Atomic structure:
Unit cell a=8.2788 b=12.3302 c=4.5751 alpha=90.00 beta=121.94 gamma=90.00
Space group C2/m (No. 12)
Unique sites:
Ti  0.1892  0.0000  0.1610 (multiplicity 4)
Ti  0.1930  0.1380  0.6729 (multiplicity 8)
Nb  0.0000  0.2169  0.0000 (multiplicity 4)
Nb  0.0000  0.3568  0.5000 (multiplicity 4)
Nb  0.0000  0.5000  0.0000 (multiplicity 2)

The 12 most intense peaks (2θ = 10–90°), low angle first:
two_theta	I (rel.)	h k l
14.51	17.3	1 1 0
25.36	18.1	2 0 0
29.25	15.7	2 2 0
37.25	52.2	0 4 1
37.63	37.6	2 4 -1
38.69	51.8	1 3 1
39.16	21.8	3 1 0
39.42	100.0	2 0 -2
55.92	10.5	1 1 2
66.41	16.4	3 7 0
70.50	10.8	1 3 -3
79.33	10.7	1 7 2